LiGaMo2O8: theoretical powder XRD pattern (Cu Kα X-rays), based on a DFT-relaxed cell (GGA+U, Alexandria).

Structural model:
```
data_LiGaMo2O8
_chemical_formula_sum 'Li2 Ga2 Mo4 O16'
_cell_length_a 6.8267
_cell_length_b 7.1979
_cell_length_c 7.5099
_cell_angle_alpha 91.06
_cell_angle_beta 110.73
_cell_angle_gamma 104.88
_space_group_name_H-M_alt 'P -1'
_space_group_IT_number 2
_space_group_name_Hall '-P 1'
loop_
_atom_site_label
_atom_site_fract_x
_atom_site_fract_y
_atom_site_fract_z
_atom_site_occupancy
Li1 0.2331 0.0533 0.2579 1
Ga1 0.4070 0.5999 0.8192 1
Mo1 0.1767 0.5326 0.2879 1
Mo2 0.3356 0.0774 0.7907 1
O1 0.0885 0.9829 0.8206 1
O2 0.1154 0.5548 0.8394 1
O3 0.2460 0.5416 0.5425 1
O4 0.2636 0.0784 0.5439 1
O5 0.2743 0.7714 0.2406 1
O6 0.3109 0.3674 0.2259 1
O7 0.4236 0.3430 0.8906 1
O8 0.4864 0.8843 0.8509 1
```

Top 6 peaks for 10° ≤ 2θ ≤ 90°, low angle first:
Position (°2θ)	intensity
12.82	31
14.46	34
15.30	32
25.55	80
25.80	89
27.08	100